No. 1
Calculated X-ray powder pattern of Mg2ReAg for Cu Kα (weighted mean of Kα1 and Kα2), from the GGA-PBE geometry in Alexandria.
Peak positions follow from Bragg's law for the DFT cell and can differ from measured ones.

Main lines, in order of rising 2θ (10 to 90 degrees two-theta):
- 2θ = 21.50°, rel. 99
- 2θ = 30.01°, rel. 44
- 2θ = 32.30°, rel. 36
- 2θ = 37.22°, rel. 100
- 2θ = 39.13°, rel. 87
- 2θ = 43.81°, rel. 31
- 2θ = 44.66°, rel. 59
- 2θ = 50.08°, rel. 42
- 2θ = 64.35°, rel. 39
- 2θ = 76.14°, rel. 36

```
data_Mg2ReAg
_space_group_name_H-M_alt 'C m m m'
_space_group_IT_number 65
_space_group_name_Hall '-C 2 2'
_cell_length_a 5.956
_cell_length_b 8.266
_cell_length_c 2.772
_cell_angle_alpha 90.00
_cell_angle_beta 90.00
_cell_angle_gamma 90.00
loop_
_atom_site_label
_atom_site_type_symbol
_atom_site_fract_x
_atom_site_fract_y
_atom_site_fract_z
Mg1 Mg 0.250 0.250 0.000
Re1 Re 0.000 0.000 0.500
Ag1 Ag 0.000 0.500 0.500
```

=====

No. 2
Calculated X-ray powder pattern of YHoTh2Sb5 for Cu Kα (weighted mean of Kα1 and Kα2), from the GGA-PBE geometry in Alexandria.
Peak positions follow from Bragg's law for the DFT cell and can differ from measured ones.

Main lines, in order of rising 2θ (10 to 90 degrees two-theta):
- 2θ = 23.98°, rel. 97
- 2θ = 28.66°, rel. 41
- 2θ = 28.91°, rel. 57
- 2θ = 31.23°, rel. 37
- 2θ = 33.67°, rel. 50
- 2θ = 34.16°, rel. 100
- 2θ = 45.35°, rel. 34
- 2θ = 46.96°, rel. 48
- 2θ = 49.09°, rel. 36
- 2θ = 59.34°, rel. 24

```
data_YHoTh2Sb5
_space_group_name_H-M_alt 'P 4/m m m'
_space_group_IT_number 123
_space_group_name_Hall '-P 4 2'
_cell_length_a 5.249
_cell_length_b 5.249
_cell_length_c 11.457
_cell_angle_alpha 90.00
_cell_angle_beta 90.00
_cell_angle_gamma 90.00
loop_
_atom_site_label
_atom_site_type_symbol
_atom_site_fract_x
_atom_site_fract_y
_atom_site_fract_z
Y1 Y 0.000 0.000 0.000
Ho1 Ho 0.000 0.000 0.500
Th1 Th 0.500 0.500 0.299
Sb1 Sb 0.000 0.000 0.248
Sb2 Sb 0.000 0.500 0.500
Sb3 Sb 0.500 0.500 0.000
```

=====

No. 3
Calculated X-ray powder pattern of La2DyBi2 for Cu Kα (weighted mean of Kα1 and Kα2), from the GGA-PBE geometry in Alexandria.
Peak positions follow from Bragg's law for the DFT cell and can differ from measured ones.

Main lines, in order of rising 2θ (10 to 90 degrees two-theta):
- 2θ = 22.07°, rel. 55
- 2θ = 23.63°, rel. 79
- 2θ = 27.18°, rel. 64
- 2θ = 29.91°, rel. 69
- 2θ = 31.08°, rel. 66
- 2θ = 33.98°, rel. 100
- 2θ = 35.18°, rel. 79
- 2θ = 36.30°, rel. 97
- 2θ = 39.88°, rel. 98
- 2θ = 46.77°, rel. 49

```
data_La2DyBi2
_space_group_name_H-M_alt 'I b a m'
_space_group_IT_number 72
_space_group_name_Hall '-I 2 2c'
_cell_length_a 8.872
_cell_length_b 12.472
_cell_length_c 6.562
_cell_angle_alpha 90.00
_cell_angle_beta 90.00
_cell_angle_gamma 90.00
loop_
_atom_site_label
_atom_site_type_symbol
_atom_site_fract_x
_atom_site_fract_y
_atom_site_fract_z
La1 La 0.144 0.149 0.000
Dy1 Dy 0.000 0.500 0.250
Bi1 Bi 0.226 0.109 0.500
```

=====

No. 4
Calculated X-ray powder pattern of TlAg2GeS4 for Cu Kα (weighted mean of Kα1 and Kα2), from the GGA-PBE geometry in Alexandria.
Peak positions follow from Bragg's law for the DFT cell and can differ from measured ones.

Main lines, in order of rising 2θ (10 to 90 degrees two-theta):
- 2θ = 16.96°, rel. 11
- 2θ = 26.42°, rel. 37
- 2θ = 28.57°, rel. 100
- 2θ = 31.57°, rel. 15
- 2θ = 37.72°, rel. 31
- 2θ = 47.99°, rel. 50
- 2θ = 51.87°, rel. 24
- 2θ = 59.14°, rel. 10
- 2θ = 61.47°, rel. 10
- 2θ = 78.49°, rel. 11

```
data_TlAg2GeS4
_space_group_name_H-M_alt 'I 2 2 2'
_space_group_IT_number 23
_cell_length_a 6.741
_cell_length_b 6.751
_cell_length_c 8.270
_cell_angle_alpha 90.00
_cell_angle_beta 90.00
_cell_angle_gamma 90.00
loop_
_space_group_symop_operation_xyz
'x,y,z'
'-x,-y,z'
'x,-y,-z'
'-x,y,-z'
'x+1/2,y+1/2,z+1/2'
'-x+1/2,-y+1/2,z+1/2'
'x+1/2,-y+1/2,-z+1/2'
'-x+1/2,y+1/2,-z+1/2'
loop_
_atom_site_label
_atom_site_type_symbol
_atom_site_fract_x
_atom_site_fract_y
_atom_site_fract_z
Tl1 Tl 0.000 0.000 0.000
Ag1 Ag 0.000 0.500 0.247
Ge1 Ge 0.000 0.000 0.500
S1 S 0.194 0.194 0.653
```

=====

No. 5
Calculated X-ray powder pattern of TbZrHgRh for Cu Kα (weighted mean of Kα1 and Kα2), from the GGA-PBE geometry in Alexandria.
Peak positions follow from Bragg's law for the DFT cell and can differ from measured ones.

Main lines, in order of rising 2θ (10 to 90 degrees two-theta):
- 2θ = 22.00°, rel. 9
- 2θ = 36.32°, rel. 100
- 2θ = 42.87°, rel. 6
- 2θ = 52.30°, rel. 18
- 2θ = 57.41°, rel. 2
- 2θ = 65.34°, rel. 36
- 2θ = 69.86°, rel. 2
- 2θ = 77.12°, rel. 11
- 2θ = 81.37°, rel. 2
- 2θ = 88.36°, rel. 16

```
data_TbZrHgRh
_space_group_name_H-M_alt 'F -4 3 m'
_space_group_IT_number 216
_space_group_name_Hall 'F -4 2 3'
_cell_length_a 6.996
_cell_length_b 6.996
_cell_length_c 6.996
_cell_angle_alpha 90.00
_cell_angle_beta 90.00
_cell_angle_gamma 90.00
loop_
_atom_site_label
_atom_site_type_symbol
_atom_site_fract_x
_atom_site_fract_y
_atom_site_fract_z
Tb1 Tb 0.000 0.000 0.000
Zr1 Zr 0.000 0.000 0.500
Hg1 Hg 0.250 0.250 0.250
Rh1 Rh 0.250 0.250 0.750
```

=====

No. 6
Calculated X-ray powder pattern of SrNi10P6 for Cu Kα (weighted mean of Kα1 and Kα2), from the GGA-PBE geometry in Alexandria.
Peak positions follow from Bragg's law for the DFT cell and can differ from measured ones.

Main lines, in order of rising 2θ (10 to 90 degrees two-theta):
- 2θ = 10.94°, rel. 97
- 2θ = 30.02°, rel. 59
- 2θ = 33.22°, rel. 48
- 2θ = 35.76°, rel. 100
- 2θ = 36.50°, rel. 60
- 2θ = 37.78°, rel. 70
- 2θ = 47.80°, rel. 96
- 2θ = 52.39°, rel. 42
- 2θ = 54.00°, rel. 61
- 2θ = 55.28°, rel. 42

```
data_SrNi10P6
_space_group_name_H-M_alt 'C m c e'
_space_group_IT_number 64
_space_group_name_Hall '-C 2ac 2'
_cell_length_a 6.406
_cell_length_b 16.179
_cell_length_c 8.747
_cell_angle_alpha 90.00
_cell_angle_beta 90.00
_cell_angle_gamma 90.00
loop_
_atom_site_label
_atom_site_type_symbol
_atom_site_fract_x
_atom_site_fract_y
_atom_site_fract_z
Sr1 Sr 0.000 0.000 0.000
Ni1 Ni 0.000 0.044 0.381
Ni2 Ni 0.000 0.208 0.210
Ni3 Ni 0.201 0.173 0.471
Ni4 Ni 0.250 0.162 0.750
P1 P 0.000 0.090 0.628
P2 P 0.000 0.209 0.927
P3 P 0.250 0.106 0.250
```

=====

No. 7
Calculated X-ray powder pattern of KIn for Cu Kα (weighted mean of Kα1 and Kα2), from the GGA-PBE geometry in Alexandria.
Peak positions follow from Bragg's law for the DFT cell and can differ from measured ones.

Main lines, in order of rising 2θ (10 to 90 degrees two-theta):
- 2θ = 14.11°, rel. 70
- 2θ = 20.73°, rel. 100
- 2θ = 25.21°, rel. 47
- 2θ = 26.07°, rel. 95
- 2θ = 26.98°, rel. 73
- 2θ = 30.92°, rel. 84
- 2θ = 32.83°, rel. 43
- 2θ = 36.19°, rel. 54
- 2θ = 44.65°, rel. 39
- 2θ = 51.58°, rel. 49

```
data_KIn
_space_group_name_H-M_alt 'F d d d'
_space_group_IT_number 70
_cell_length_a 9.218
_cell_length_b 10.996
_cell_length_c 13.670
_cell_angle_alpha 90.00
_cell_angle_beta 90.00
_cell_angle_gamma 90.00
loop_
_space_group_symop_operation_xyz
'x,y,z'
'-x,-y,-z'
'-x+1/4,-y+1/4,z'
'x+1/4,y+1/4,-z'
'x,-y+1/4,-z+1/4'
'-x,y+1/4,z+1/4'
'-x+1/4,y,-z+1/4'
'x+1/4,-y,z+1/4'
'x,y+1/2,z+1/2'
'-x,-y+1/2,-z+1/2'
'-x+1/4,-y+3/4,z+1/2'
'x+1/4,y+3/4,-z+1/2'
'x,-y+3/4,-z+3/4'
'-x,y+3/4,z+3/4'
'-x+1/4,y+1/2,-z+3/4'
'x+1/4,-y+1/2,z+3/4'
'x+1/2,y,z+1/2'
'-x+1/2,-y,-z+1/2'
'-x+3/4,-y+1/4,z+1/2'
'x+3/4,y+1/4,-z+1/2'
'x+1/2,-y+1/4,-z+3/4'
'-x+1/2,y+1/4,z+3/4'
'-x+3/4,y,-z+3/4'
'x+3/4,-y,z+3/4'
'x+1/2,y+1/2,z'
'-x+1/2,-y+1/2,-z'
'-x+3/4,-y+3/4,z'
'x+3/4,y+3/4,-z'
'x+1/2,-y+3/4,-z+1/4'
'-x+1/2,y+3/4,z+1/4'
'-x+3/4,y+1/2,-z+1/4'
'x+3/4,-y+1/2,z+1/4'
loop_
_atom_site_label
_atom_site_type_symbol
_atom_site_fract_x
_atom_site_fract_y
_atom_site_fract_z
K1 K 0.125 0.311 0.125
In1 In 0.033 0.375 0.875
```

=====

No. 8
Calculated X-ray powder pattern of BaPuBN3 for Cu Kα (weighted mean of Kα1 and Kα2), from the GGA-PBE geometry in Alexandria.
Peak positions follow from Bragg's law for the DFT cell and can differ from measured ones.

Main lines, in order of rising 2θ (10 to 90 degrees two-theta):
- 2θ = 17.87°, rel. 70
- 2θ = 22.94°, rel. 24
- 2θ = 31.22°, rel. 90
- 2θ = 34.07°, rel. 100
- 2θ = 39.09°, rel. 15
- 2θ = 46.87°, rel. 47
- 2θ = 55.55°, rel. 18
- 2θ = 57.40°, rel. 43
- 2θ = 68.79°, rel. 20
- 2θ = 75.57°, rel. 21

```
data_BaPuBN3
_space_group_name_H-M_alt 'P 63/m m c'
_space_group_IT_number 194
_space_group_name_Hall '-P 6c 2c'
_cell_length_a 5.7307
_cell_length_b 5.7307
_cell_length_c 6.2078
_cell_angle_alpha 90.00
_cell_angle_beta 90.00
_cell_angle_gamma 120.00
loop_
_atom_site_label
_atom_site_type_symbol
_atom_site_fract_x
_atom_site_fract_y
_atom_site_fract_z
Ba1 Ba 0.3333 0.6667 0.2500
Pu1 Pu 0.0000 0.0000 0.0000
B1 B 0.3333 0.6667 0.7500
N1 N 0.1827 0.3654 0.7500
```

=====

No. 9
Calculated X-ray powder pattern of K2Rb3Na6 for Cu Kα (weighted mean of Kα1 and Kα2), from the GGA-PBE geometry in Alexandria.
Peak positions follow from Bragg's law for the DFT cell and can differ from measured ones.

Main lines, in order of rising 2θ (10 to 90 degrees two-theta):
- 2θ = 20.19°, rel. 100
- 2θ = 24.55°, rel. 39
- 2θ = 25.22°, rel. 81
- 2θ = 26.52°, rel. 27
- 2θ = 28.11°, rel. 30
- 2θ = 30.74°, rel. 25
- 2θ = 37.86°, rel. 28
- 2θ = 43.28°, rel. 26
- 2θ = 45.64°, rel. 27
- 2θ = 46.04°, rel. 30

```
data_K2Rb3Na6
_space_group_name_H-M_alt 'I 4/m m m'
_space_group_IT_number 139
_space_group_name_Hall '-I 4 2'
_cell_length_a 4.753
_cell_length_b 4.753
_cell_length_c 58.026
_cell_angle_alpha 90.00
_cell_angle_beta 90.00
_cell_angle_gamma 90.00
loop_
_atom_site_label
_atom_site_type_symbol
_atom_site_fract_x
_atom_site_fract_y
_atom_site_fract_z
K1 K 0.000 0.000 0.124
Rb1 Rb 0.000 0.000 0.313
Rb2 Rb 0.000 0.000 0.500
Na1 Na 0.000 0.000 0.237
Na2 Na 0.000 0.500 0.064
```

=====

No. 10
Calculated X-ray powder pattern of RbLaMnCl6 for Cu Kα (weighted mean of Kα1 and Kα2), from the GGA-PBE geometry in Alexandria.
Peak positions follow from Bragg's law for the DFT cell and can differ from measured ones.

Main lines, in order of rising 2θ (10 to 90 degrees two-theta):
- 2θ = 11.95°, rel. 47
- 2θ = 19.41°, rel. 100
- 2θ = 26.57°, rel. 21
- 2θ = 29.22°, rel. 31
- 2θ = 33.12°, rel. 20
- 2θ = 36.12°, rel. 75
- 2θ = 42.95°, rel. 23
- 2θ = 45.61°, rel. 13
- 2θ = 46.90°, rel. 23
- 2θ = 60.59°, rel. 14

```
data_RbLaMnCl6
_space_group_name_H-M_alt 'P -3 1 c'
_space_group_IT_number 163
_space_group_name_Hall '-P 3 2c'
_cell_length_a 6.7102
_cell_length_b 6.7102
_cell_length_c 14.8169
_cell_angle_alpha 90.00
_cell_angle_beta 90.00
_cell_angle_gamma 120.00
loop_
_atom_site_label
_atom_site_type_symbol
_atom_site_fract_x
_atom_site_fract_y
_atom_site_fract_z
Rb1 Rb 0.0000 0.0000 0.0000
La1 La 0.3333 0.6667 0.2500
Mn1 Mn 0.3333 0.6667 0.7500
Cl1 Cl 0.0480 0.3870 0.6524
```

=====

No. 11
Calculated X-ray powder pattern of Y4Ho8Tm3 for Cu Kα (weighted mean of Kα1 and Kα2), from the GGA-PBE geometry in Alexandria.
Peak positions follow from Bragg's law for the DFT cell and can differ from measured ones.

Main lines, in order of rising 2θ (10 to 90 degrees two-theta):
- 2θ = 30.13°, rel. 14
- 2θ = 30.46°, rel. 15
- 2θ = 30.58°, rel. 47
- 2θ = 31.74°, rel. 100
- 2θ = 36.48°, rel. 71
- 2θ = 51.79°, rel. 23
- 2θ = 53.30°, rel. 31
- 2θ = 61.35°, rel. 15
- 2θ = 62.70°, rel. 38
- 2θ = 63.38°, rel. 14

```
data_Y4Ho8Tm3
_space_group_name_H-M_alt 'R -3 m'
_space_group_IT_number 166
_space_group_name_Hall '-R 3 2"'
_cell_length_a 6.8751
_cell_length_b 6.8751
_cell_length_c 35.0776
_cell_angle_alpha 90.00
_cell_angle_beta 90.00
_cell_angle_gamma 120.00
loop_
_atom_site_label
_atom_site_type_symbol
_atom_site_fract_x
_atom_site_fract_y
_atom_site_fract_z
Y1 Y 0.0000 0.0000 0.0000
Y2 Y 0.0000 0.0000 0.1639
Y3 Y 0.0000 0.0000 0.5000
Ho1 Ho 0.0000 0.0000 0.2560
Ho2 Ho 0.0022 0.5011 0.2509
Tm1 Tm 0.0000 0.5000 0.0000
```

=====

No. 12
Calculated X-ray powder pattern of TbH6Pd8 for Cu Kα (weighted mean of Kα1 and Kα2), from the GGA-PBE geometry in Alexandria.
Peak positions follow from Bragg's law for the DFT cell and can differ from measured ones.

Main lines, in order of rising 2θ (10 to 90 degrees two-theta):
- 2θ = 36.66°, rel. 51
- 2θ = 36.80°, rel. 100
- 2θ = 37.20°, rel. 49
- 2θ = 42.52°, rel. 33
- 2θ = 42.68°, rel. 33
- 2θ = 43.29°, rel. 31
- 2θ = 62.02°, rel. 22
- 2θ = 73.85°, rel. 13
- 2θ = 74.11°, rel. 12
- 2θ = 74.74°, rel. 12

```
data_TbH6Pd8
_space_group_name_H-M_alt 'P -1'
_space_group_IT_number 2
_cell_length_a 5.178
_cell_length_b 5.200
_cell_length_c 7.809
_cell_angle_alpha 70.95
_cell_angle_beta 71.61
_cell_angle_gamma 60.23
loop_
_space_group_symop_operation_xyz
'x,y,z'
'-x,-y,-z'
loop_
_atom_site_label
_atom_site_type_symbol
_atom_site_fract_x
_atom_site_fract_y
_atom_site_fract_z
Tb1 Tb 0.000 0.000 0.000
H1 H 0.131 0.136 0.594
H2 H 0.252 0.254 0.237
H3 H 0.423 0.420 0.736
Pd1 Pd 0.107 0.779 0.665
Pd2 Pd 0.220 0.551 0.334
Pd3 Pd 0.336 0.338 0.991
Pd4 Pd 0.448 0.105 0.667
```